# 1
Structure and theoretical X-ray powder pattern of YMg14B (a GGA-PBE-relaxed structure; copper Kα).
Kinematic intensities with the Lorentz-polarization factor, no thermal factor.

Top 6 peaks for 2θ = 10–80°, in order of rising 2θ:
2θ 18.29, I 22
2θ 32.38, I 26
2θ 35.53, I 23
2θ 37.07, I 100
2θ 57.76, I 17
2θ 69.68, I 17

Atomic structure:
```
16
Lattice="6.3846 0.0000 0.0000 -3.1923 5.5292 0.0000 0.0000 0.0000 10.1063" Properties=species:S:1:pos:R:3 pbc="T T T"
Y 0.0000 0.0000 0.0000
Mg -1.5131 2.8125 0.0000
Mg 0.0000 1.7549 2.7365
Mg 0.0000 1.7549 7.3699
Mg -1.6725 4.6517 2.7365
Mg -1.6725 4.6517 7.3699
Mg 1.5131 2.8125 0.0000
Mg 0.0000 5.4333 0.0000
Mg 3.1923 0.0563 5.0532
Mg 1.6449 2.7364 5.0532
Mg 3.1923 1.8431 2.4006
Mg 3.1923 1.8431 7.7057
Mg 1.6725 4.6517 2.7365
Mg 1.6725 4.6517 7.3699
Mg 4.7396 2.7364 5.0532
B 0.0000 0.0000 5.0532
```

# 2
Structure and theoretical X-ray powder pattern of LiNb2Te4Cl10O (a GGA-PBE-relaxed structure; copper Kα).
Kinematic intensities with the Lorentz-polarization factor, no thermal factor.

Top 6 peaks for 2θ = 10–80°, in order of rising 2θ:
2θ 14.04, I 27
2θ 15.07, I 25
2θ 15.19, I 100
2θ 19.93, I 25
2θ 22.84, I 32
2θ 30.14, I 31

Atomic structure:
```
18
Lattice="7.3916 0.0000 0.0000 -2.3493 8.2994 0.0000 -0.1598 -1.1902 9.5177" Properties=species:S:1:pos:R:3 pbc="T T T"
Li 0.0000 0.0000 0.0000
Nb -0.8151 2.2397 6.0645
Nb 5.6976 4.8696 3.4532
Te 0.1727 6.5768 7.9188
Te 2.7551 1.7046 0.0421
Te 2.1274 5.4046 9.4757
Te 4.7098 0.5324 1.5990
Cl -0.1333 0.4245 7.8057
Cl -0.4539 3.8062 1.7414
Cl 0.6457 1.1431 4.5965
Cl 0.1295 6.2260 3.9915
Cl 1.1186 3.5174 6.8494
Cl 3.7639 3.5918 2.6683
Cl 4.7530 0.8832 5.5262
Cl 4.2368 5.9661 4.9212
Cl 5.3364 3.3031 7.7763
Cl 5.0158 6.6848 1.7120
O -1.2545 3.5546 4.7589
```

# 3
Structure and theoretical X-ray powder pattern of Zr3CoSe6 (a GGA-PBE-relaxed structure; copper Kα).
Kinematic intensities with the Lorentz-polarization factor, no thermal factor.

Top 6 peaks for 2θ = 10–80°, in order of rising 2θ:
2θ 31.26, I 100
2θ 40.63, I 71
2θ 48.68, I 41
2θ 53.19, I 15
2θ 59.00, I 16
2θ 65.21, I 17

Atomic structure:
```
10
Lattice="3.2398 1.8705 6.0987 -3.2398 1.8705 6.0987 0.0000 -3.7410 6.0987" Properties=species:S:1:pos:R:3 pbc="T T T"
Zr 0.0000 0.0000 0.0000
Zr 0.0000 0.0000 6.0760
Zr 0.0000 0.0000 12.2201
Co 0.0000 0.0000 9.1481
Se -2.1468 0.0075 7.7569
Se -1.0799 -1.8555 10.5392
Se 1.0669 -1.8630 7.7569
Se -1.0669 1.8630 10.5392
Se 1.0799 1.8555 7.7569
Se 2.1468 -0.0075 10.5392
```

# 4
Structure and theoretical X-ray powder pattern of SmAl3Br12 (a GGA-PBE-relaxed structure; copper Kα).
Kinematic intensities with the Lorentz-polarization factor, no thermal factor.

Top 6 peaks for 2θ = 10–80°, in order of rising 2θ:
2θ 10.62, I 100
2θ 25.86, I 33
2θ 27.13, I 34
2θ 30.44, I 48
2θ 31.76, I 33
2θ 34.85, I 32

Atomic structure:
```
48
Lattice="10.7041 0.0000 0.0000 -5.3520 9.2700 0.0000 0.0000 0.0000 18.9505" Properties=species:S:1:pos:R:3 pbc="T T T"
Sm -3.8948 6.7461 3.1584
Sm 1.4572 2.5239 9.4753
Sm 7.7897 0.0000 15.7921
Al -0.5357 0.9278 12.6337
Al 1.0713 0.0000 6.3168
Al -0.1324 5.8476 4.1735
Al -0.2217 6.4609 16.8072
Al 0.3541 6.2315 10.4904
Al 5.1304 2.8091 14.7770
Al 5.2196 3.4224 8.4602
Al 5.7061 3.0385 2.1433
Al 4.8164 8.3422 0.0000
Br -0.9747 2.1468 14.5825
Br -0.2285 1.8401 6.9336
Br -2.2607 5.4428 5.2391
Br -3.6442 8.5479 0.6168
Br -2.3767 6.6424 16.1027
Br 1.7078 0.7221 12.0169
Br -3.0055 9.0407 8.2657
Br -1.4423 6.7123 11.7956
Br 2.3465 0.2293 4.3680
Br -0.2754 4.8411 8.6518
Br 0.2601 4.6647 18.1125
Br 0.7878 3.8905 3.4690
Br -1.0218 7.0880 2.3350
Br 1.7688 4.5908 11.5560
Br 2.9754 2.6275 15.4815
Br 1.2972 6.6109 14.9687
Br 3.0914 3.8272 7.3945
Br 1.1822 7.1629 5.4788
Br 3.9097 2.5576 0.8380
Br 0.4919 8.5064 17.8728
Br 4.3302 2.1820 10.2987
Br 1.5888 8.0070 9.7859
Br 5.8439 0.7636 13.7114
Br 5.0766 4.4289 3.9818
Br 6.9409 1.2630 2.8478
Br 6.5342 2.1071 7.1549
Br 6.6493 2.6591 16.6155
Br 3.9802 7.3525 1.9488
Br 5.6122 4.6053 13.4717
Br 4.3773 7.1232 17.0017
Br 3.8727 8.1520 13.2504
Br 6.1399 5.3795 9.1647
Br 5.1235 7.4299 5.7001
Br 7.1208 4.6792 1.0777
Br 9.2248 1.1180 18.3338
Br 9.3322 1.9175 10.6848
```

# 5
Structure and theoretical X-ray powder pattern of MgTe4Mo2W2Se2S2 (a GGA-PBE-relaxed structure; copper Kα).
Kinematic intensities with the Lorentz-polarization factor, no thermal factor.

Top 6 peaks for 2θ = 10–80°, in order of rising 2θ:
2θ 11.89, I 89
2θ 30.46, I 47
2θ 36.18, I 100
2θ 39.08, I 21
2θ 44.19, I 43
2θ 54.11, I 31

Atomic structure:
```
13
Lattice="3.3902 0.0000 0.0000 -1.6950 2.9361 0.0000 -0.0146 -0.0099 37.2150" Properties=species:S:1:pos:R:3 pbc="T T T"
Mg 0.0000 0.0000 0.0000
Te -1.4305 2.6603 27.2282
Te -1.4304 2.6602 30.9788
Te 1.9666 0.7079 6.2217
Te 1.9666 0.7078 9.9932
Mo 1.9650 0.7072 15.1100
Mo 1.9598 0.7029 29.1059
W -1.4235 2.6652 8.1053
W -1.4263 2.6631 22.0800
Se 1.9639 0.7058 20.4236
Se 1.9638 0.7056 23.7377
S -1.4252 2.6647 13.6065
S -1.4251 2.6646 16.6119
```

# 6
Structure and theoretical X-ray powder pattern of SrIn2Hg2 (a GGA-PBE-relaxed structure; copper Kα).
Kinematic intensities with the Lorentz-polarization factor, no thermal factor.

Top 6 peaks for 2θ = 10–80°, in order of rising 2θ:
2θ 20.28, I 77
2θ 30.38, I 100
2θ 38.52, I 79
2θ 38.84, I 79
2θ 38.97, I 69
2θ 56.16, I 75

Atomic structure:
```
10
Lattice="4.6369 0.0000 0.0000 0.0000 4.6369 0.0000 0.0000 0.0000 13.3314" Properties=species:S:1:pos:R:3 pbc="T T T"
Sr 0.0000 0.0000 0.0000
Sr 2.3185 2.3185 6.6657
In 0.0000 2.3185 3.3329
In 0.0000 2.3185 9.9986
In 2.3185 0.0000 3.3329
In 2.3185 0.0000 9.9986
Hg 0.0000 0.0000 5.2409
Hg 0.0000 0.0000 8.0905
Hg 2.3185 2.3185 1.4248
Hg 2.3185 2.3185 11.9066
```

# 7
Structure and theoretical X-ray powder pattern of Ba3SrSn4O12 (a GGA-PBE-relaxed structure; copper Kα).
Kinematic intensities with the Lorentz-polarization factor, no thermal factor.

Top 6 peaks for 2θ = 10–80°, in order of rising 2θ:
2θ 30.30, I 100
2θ 43.38, I 31
2θ 53.83, I 41
2θ 63.02, I 20
2θ 71.51, I 19
2θ 79.60, I 7

Atomic structure:
```
20
Lattice="4.1714 0.0000 0.0000 0.0000 5.9011 0.0000 0.0000 0.0000 11.7991" Properties=species:S:1:pos:R:3 pbc="T T T"
Ba 0.0000 0.0000 0.0000
Ba 0.0000 2.9505 2.9538
Ba 0.0000 2.9505 8.8453
Sr 0.0000 0.0000 5.8996
Sn 2.0857 0.0000 2.9597
Sn 2.0857 0.0000 8.8395
Sn 2.0857 2.9505 0.0000
Sn 2.0857 2.9505 5.8996
O 0.0000 0.0000 2.9682
O 0.0000 0.0000 8.8310
O 0.0000 2.9505 0.0000
O 0.0000 2.9505 5.8996
O 2.0857 1.4597 4.4430
O 2.0857 1.4597 7.3561
O 2.0857 1.4745 1.4768
O 2.0857 1.4745 10.3223
O 2.0857 4.4266 1.4768
O 2.0857 4.4266 10.3223
O 2.0857 4.4414 4.4430
O 2.0857 4.4414 7.3561
```

# 8
Structure and theoretical X-ray powder pattern of ZrTaCr4 (a GGA-PBE-relaxed structure; copper Kα).
Kinematic intensities with the Lorentz-polarization factor, no thermal factor.

Top 6 peaks for 2θ = 10–80°, in order of rising 2θ:
2θ 21.85, I 21
2θ 36.06, I 63
2θ 42.57, I 100
2θ 64.84, I 23
2θ 69.31, I 30
2θ 76.50, I 21

Atomic structure:
```
6
Lattice="0.0000 3.5222 3.5222 3.5222 0.0000 3.5222 3.5222 3.5222 0.0000" Properties=species:S:1:pos:R:3 pbc="T T T"
Zr 0.0000 0.0000 0.0000
Ta 5.2832 5.2832 5.2832
Cr 2.6431 2.6431 2.6431
Cr 4.4012 4.4012 2.6431
Cr 4.4012 2.6431 4.4012
Cr 2.6431 4.4012 4.4012
```

What is the formula in the sixth record?
SrIn2Hg2